KNb6Se8: simulated powder XRD pattern (Cu Kα X-rays), based on a DFT-relaxed cell (GGA-PBE, the Materials Project).
Neutral-atom scattering factors, no anomalous dispersion.

Crystal structure
Cell: 10.1956 10.1956 3.5245 Å, 90.00 90.00 120.00°
Sites, in units of the cell vectors:
K 0.0000 0.0000 0.0000
Nb 0.1062 0.6181 0.7502
Nb 0.3819 0.4881 0.7502
Nb 0.4881 0.1062 0.2498
Nb 0.5119 0.8938 0.7502
Nb 0.6181 0.5119 0.2498
Nb 0.8938 0.3819 0.2498
Se 0.0598 0.3416 0.7488
Se 0.2819 0.9402 0.7488
Se 0.3333 0.6667 0.2500
Se 0.3416 0.2819 0.2512
Se 0.6584 0.7181 0.7488
Se 0.6667 0.3333 0.7500
Se 0.7181 0.0598 0.2512
Se 0.9402 0.6584 0.2512

The 12 most intense peaks (2θ = 10–90°), in order of falling intensity:
| d (Å) | I_rel |
| --- | --- |
| 2.423 | 100.0 |
| 8.830 | 82.3 |
| 2.449 | 54.6 |
| 2.065 | 38.9 |
| 2.754 | 36.3 |
| 1.188 | 28.3 |
| 2.943 | 23.0 |
| 1.927 | 21.7 |
| 1.430 | 18.3 |
| 1.756 | 17.8 |
| 1.762 | 16.9 |
| 3.273 | 15.0 |



BaBPd4: simulated powder XRD pattern (Cu Kα X-rays), based on a DFT-relaxed cell (GGA-PBE, the Materials Project).
Neutral-atom scattering factors, no anomalous dispersion.

Crystal structure
Cell: 6.2578 5.7078 12.1482 Å, 90.00 90.00 90.00°
Sites, in units of the cell vectors:
Ba 0.1855 0.2500 0.1642
Ba 0.3145 0.7500 0.6642
Ba 0.6855 0.2500 0.3358
Ba 0.8145 0.7500 0.8358
B 0.0992 0.2500 0.5515
B 0.4008 0.7500 0.0515
B 0.5992 0.2500 0.9485
B 0.9008 0.7500 0.4485
Pd 0.0635 0.7500 0.0591
Pd 0.1105 0.2500 0.7318
Pd 0.1653 0.5060 0.4184
Pd 0.1653 0.9940 0.4184
Pd 0.3347 0.0060 0.9184
Pd 0.3347 0.4940 0.9184
Pd 0.3895 0.7500 0.2318
Pd 0.4365 0.2500 0.5591
Pd 0.5635 0.7500 0.4409
Pd 0.6105 0.2500 0.7682
Pd 0.6653 0.5060 0.0816
Pd 0.6653 0.9940 0.0816
Pd 0.8347 0.0060 0.5816
Pd 0.8347 0.4940 0.5816
Pd 0.8895 0.7500 0.2682
Pd 0.9365 0.2500 0.9409

The 12 most intense peaks (2θ = 10–90°), in order of falling intensity:
| d (Å) | I_rel |
| --- | --- |
| 2.388 | 100.0 |
| 2.476 | 72.7 |
| 2.539 | 48.7 |
| 2.500 | 48.6 |
| 2.732 | 47.1 |
| 2.236 | 44.7 |
| 2.464 | 32.3 |
| 2.921 | 25.3 |
| 2.583 | 24.0 |
| 2.676 | 21.6 |
| 1.299 | 16.6 |
| 1.427 | 16.3 |



Li3Ti2P3O12: simulated powder XRD pattern (Cu Kα X-rays), based on a DFT-relaxed cell (GGA-PBE, the Materials Project).
Neutral-atom scattering factors, no anomalous dispersion.

Crystal structure
Cell: 8.4686 8.4686 8.6936 Å, 117.48 117.48 63.66°
Sites, in units of the cell vectors:
Li 0.0000 0.5000 0.5000
Li 0.1311 0.2581 0.1609
Li 0.2581 0.1311 0.6609
Li 0.5000 0.0000 0.0000
Li 0.7419 0.8689 0.3391
Li 0.8689 0.7419 0.8391
Ti 0.1452 0.6402 0.3541
Ti 0.3598 0.8548 0.1459
Ti 0.6402 0.1452 0.8541
Ti 0.8548 0.3598 0.6459
P 0.0510 0.9490 0.7500
P 0.2509 0.4475 0.9610
P 0.4475 0.2509 0.4610
P 0.5525 0.7491 0.5390
P 0.7491 0.5525 0.0390
P 0.9490 0.0510 0.2500
O 0.0202 0.1136 0.6949
O 0.0587 0.7648 0.5852
O 0.0891 0.4526 0.7741
O 0.1136 0.0202 0.1949
O 0.1870 0.4637 0.1084
O 0.2352 0.9413 0.9148
O 0.2521 0.3950 0.4193
O 0.3230 0.6104 0.0214
O 0.3896 0.6770 0.4786
O 0.3950 0.2521 0.9193
O 0.4526 0.0891 0.2741
O 0.4637 0.1870 0.6084
O 0.5363 0.8130 0.3916
O 0.5474 0.9109 0.7259
O 0.6050 0.7479 0.0807
O 0.6104 0.3230 0.5214
O 0.6770 0.3896 0.9786
O 0.7479 0.6050 0.5807
O 0.7648 0.0587 0.0852
O 0.8130 0.5363 0.8916
O 0.8864 0.9798 0.8051
O 0.9109 0.5474 0.2259
O 0.9413 0.2352 0.4148
O 0.9798 0.8864 0.3051

The 12 most intense peaks (2θ = 10–90°), in order of falling intensity:
| d (Å) | I_rel |
| --- | --- |
| 3.785 | 100.0 |
| 3.735 | 97.3 |
| 3.672 | 91.2 |
| 4.226 | 72.0 |
| 2.574 | 55.5 |
| 3.111 | 43.9 |
| 4.455 | 41.6 |
| 6.222 | 40.9 |
| 4.335 | 37.3 |
| 2.895 | 35.5 |
| 2.750 | 33.9 |
| 2.709 | 24.9 |